No. 1
This entry pairs a crystal structure of Sm3Si2S8I with its calculated XRD peak list. Radiation: Cu Kα X-rays. Structure: a crystal structure in the Materials Project, relaxed with GGA-PBE.
Lines closer than 0.1° are merged.

Cell and atoms:
Cell: 15.901 7.789 10.803 Å, 90.00 98.40 90.00°
Space group C2/c (No. 15)
Unique sites:
Sm: 0.000 0.103 0.250 [4 per cell]
Sm: 0.200 0.376 0.681 [8 per cell]
Si: 0.159 0.037 0.028 [8 per cell]
S: 0.068 0.158 0.540 [8 per cell]
S: 0.144 0.248 0.147 [8 per cell]
S: 0.149 0.098 0.834 [8 per cell]
S: 0.218 0.431 0.414 [8 per cell]
I: 0.000 0.485 0.750 [4 per cell]

Largest 8 diffraction maxima, by angle, 2θ = 5–70°:
2θ/deg, d/Å, intensity, index
16.59, 5.344, 100, 0 0 2
22.99, 3.868, 40, 3 1 1
24.32, 3.659, 71, 0 2 1
26.10, 3.415, 54, 4 0 -2
32.58, 2.748, 78, 4 2 -1
34.15, 2.625, 51, 6 0 0
38.67, 2.329, 39, 3 3 0
39.11, 2.304, 50, 4 2 -3

No. 2
This entry pairs a crystal structure of Sn7S2I6 with its calculated XRD peak list. Radiation: Cu Kα X-rays. Structure: a crystal structure in the Materials Project, relaxed with GGA-PBE.
Lines closer than 0.1° are merged.

Cell and atoms:
Cell: 14.663 4.466 17.980 Å, 90.00 111.36 90.00°
Space group C2/m (No. 12)
Unique sites:
Sn: 0.000 0.000 0.000 [2 per cell]
Sn: 0.101 0.500 0.948 [4 per cell]
Sn: 0.125 0.500 0.473 [4 per cell]
Sn: 0.219 0.000 0.279 [4 per cell]
S: 0.195 0.000 0.419 [4 per cell]
I: 0.053 0.500 0.241 [4 per cell]
I: 0.114 0.000 0.625 [4 per cell]
I: 0.249 0.000 0.881 [4 per cell]

Largest 8 diffraction maxima, by angle, 2θ = 5–70°:
2θ/deg, d/Å, intensity, index
23.99, 3.710, 16, 2 0 3
24.99, 3.563, 29, 2 0 -5
27.28, 3.269, 100, 3 1 -2
27.81, 3.208, 27, 1 1 3
29.84, 2.994, 22, 2 0 -6
31.68, 2.824, 32, 1 1 4
32.11, 2.788, 19, 1 1 -5
40.39, 2.233, 29, 0 2 0

No. 3
This entry pairs a crystal structure of Sn2SI2 with its calculated XRD peak list. Radiation: Cu Kα X-rays. Structure: a crystal structure in the Materials Project, relaxed with GGA-PBE.
Lines closer than 0.1° are merged.

Cell and atoms:
Cell: 18.457 4.430 26.537 Å, 90.00 90.00 90.00°
Space group Pnma (No. 62)
Unique sites:
Sn: 0.003 0.250 0.223 [4 per cell]
Sn: 0.014 0.750 0.064 [4 per cell]
Sn: 0.035 0.750 0.561 [4 per cell]
Sn: 0.163 0.250 0.840 [4 per cell]
Sn: 0.181 0.750 0.685 [4 per cell]
Sn: 0.191 0.750 0.450 [4 per cell]
S: 0.019 0.250 0.839 [4 per cell]
S: 0.050 0.750 0.462 [4 per cell]
S: 0.139 0.750 0.779 [4 per cell]
I: 0.043 0.250 0.682 [4 per cell]
I: 0.125 0.250 0.085 [4 per cell]
I: 0.125 0.750 0.936 [4 per cell]
I: 0.163 0.250 0.368 [4 per cell]
I: 0.177 0.250 0.544 [4 per cell]
I: 0.211 0.750 0.218 [4 per cell]

Largest 8 diffraction maxima, by angle, 2θ = 5–70°:
2θ/deg, d/Å, intensity, index
25.40, 3.507, 12, 2 0 7
26.88, 3.317, 16, 0 0 8
27.96, 3.191, 16, 2 1 5
28.23, 3.161, 100, 3 1 4
28.74, 3.107, 13, 4 1 2
29.00, 3.079, 21, 6 0 0
31.05, 2.880, 12, 0 1 7
40.74, 2.215, 25, 0 2 0

No. 4
This entry pairs a crystal structure of Tl2SI2 with its calculated XRD peak list. Radiation: Cu Kα X-rays. Structure: a crystal structure in the Materials Project, relaxed with GGA-PBE.
Lines closer than 0.1° are merged.

Cell and atoms:
Cell: 5.550 5.550 13.830 Å, 90.00 90.00 90.00°
Space group P4/mmm (No. 123)
Unique sites:
Tl: 0.000 0.000 0.181 [2 per cell]
S: 0.000 0.000 0.000 [1 per cell]
I: 0.000 0.000 0.390 [2 per cell]

Largest 8 diffraction maxima, by angle, 2θ = 5–70°:
2θ/deg, d/Å, intensity, index
15.97, 5.550, 100, 1 0 0
22.66, 3.924, 44, 1 1 0
32.26, 2.775, 18, 2 0 0
36.23, 2.479, 47, 2 1 0
39.87, 2.261, 15, 1 1 5
46.32, 1.960, 17, 2 2 0
49.31, 1.848, 22, 3 0 0
69.93, 1.345, 12, 4 1 0

No. 5
This entry pairs a crystal structure of TmSI with its calculated XRD peak list. Radiation: Cu Kα X-rays. Structure: a crystal structure in the Materials Project, relaxed with GGA-PBE.
Lines closer than 0.1° are merged.

Cell and atoms:
Cell: 4.4741 4.4741 5.1105 Å, 90.00 90.00 120.00°
Space group P-6m2 (No. 187)
Unique sites:
Tm: 0.0000 0.0000 0.0000 [1 per cell]
S: 0.6667 0.3333 0.0000 [1 per cell]
I: 0.3333 0.6667 0.5000 [1 per cell]

Largest 8 diffraction maxima, by angle, 2θ = 5–70°:
2θ/deg, d/Å, intensity, index
22.95, 3.875, 19, 1 0 0
28.92, 3.088, 100, 1 0 1
35.12, 2.555, 16, 0 0 2
40.32, 2.237, 33, 1 1 0
50.37, 1.812, 21, 2 0 1
54.52, 1.683, 27, 1 1 2
59.25, 1.559, 13, 1 0 3
66.40, 1.408, 19, 2 1 1

No. 6
This entry pairs a crystal structure of SbI3 with its calculated XRD peak list. Radiation: Cu Kα X-rays. Structure: a crystal structure in the Materials Project, relaxed with GGA-PBE.
Lines closer than 0.1° are merged.

Cell and atoms:
Cell: 7.912 11.716 8.875 Å, 90.00 109.37 90.00°
Space group P2_1/c (No. 14)
Unique sites:
Sb: 0.048 0.162 0.176 [4 per cell]
I: 0.207 0.602 0.180 [4 per cell]
I: 0.212 0.554 0.696 [4 per cell]
I: 0.317 0.247 0.453 [4 per cell]

Largest 8 diffraction maxima, by angle, 2θ = 5–70°:
2θ/deg, d/Å, intensity, index
11.86, 7.465, 34, 1 0 0
18.49, 4.800, 27, 0 2 1
23.86, 3.730, 37, 2 0 0
25.72, 3.463, 100, 1 3 0
26.18, 3.404, 36, 2 0 -2
27.30, 3.267, 41, 2 1 -2
28.72, 3.108, 30, 1 1 2
40.72, 2.216, 25, 1 0 -4

No. 7
This entry pairs a crystal structure of SbI3 with its calculated XRD peak list. Radiation: Cu Kα X-rays. Structure: a crystal structure in the Materials Project, relaxed with GGA-PBE.
Lines closer than 0.1° are merged.

Cell and atoms:
Cell: 7.6668 7.6668 22.9070 Å, 90.00 90.00 120.00°
Space group R-3 (No. 148, hexagonal axes)
Unique sites:
Sb: 0.0000 0.0000 0.1679 [6 per cell]
I: 0.0032 0.6463 0.4214 [18 per cell]

Largest 8 diffraction maxima, by angle, 2θ = 5–70°:
2θ/deg, d/Å, intensity, index
11.59, 7.636, 23, 0 0 3
23.28, 3.820, 15, 0 0 6
26.01, 3.426, 100, 2 -1 3
33.12, 2.705, 45, 2 -1 6
40.77, 2.213, 30, 3 0 0
42.64, 2.120, 29, 1 1 9
49.00, 1.859, 16, 2 2 3
64.46, 1.446, 15, 3 0 12

No. 8
This entry pairs a crystal structure of SbTeI with its calculated XRD peak list. Radiation: Cu Kα X-rays. Structure: a crystal structure in the Materials Project, relaxed with GGA-PBE.
Lines closer than 0.1° are merged.

Cell and atoms:
Cell: 14.798 4.300 9.757 Å, 90.00 130.96 90.00°
Space group C2/m (No. 12)
Unique sites:
Sb: 0.131 0.000 0.257 [4 per cell]
Te: 0.183 0.000 0.596 [4 per cell]
I: 0.073 0.500 0.866 [4 per cell]

Largest 8 diffraction maxima, by angle, 2θ = 5–70°:
2θ/deg, d/Å, intensity, index
12.07, 7.333, 43, 2 0 -1
27.74, 3.216, 100, 3 1 -1
28.55, 3.127, 55, 2 0 -3
28.81, 3.099, 24, 3 1 -2
31.78, 2.816, 36, 3 1 0
36.80, 2.442, 26, 1 1 2
43.45, 2.083, 25, 5 1 -4
51.59, 1.772, 21, 2 2 -3

No. 9
This entry pairs a crystal structure of SeI2 with its calculated XRD peak list. Radiation: Cu Kα X-rays. Structure: a crystal structure in the Materials Project, relaxed with GGA-PBE.
Lines closer than 0.1° are merged.

Cell and atoms:
Cell: 8.460 8.460 3.933 Å, 90.00 90.00 90.00°
Space group P4_2/mnm (No. 136)
Unique sites:
Se: 0.000 0.000 0.000 [2 per cell]
I: 0.169 0.169 0.500 [4 per cell]

Largest 8 diffraction maxima, by angle, 2θ = 5–70°:
2θ/deg, d/Å, intensity, index
14.81, 5.982, 84, 1 1 0
23.51, 3.784, 100, 2 1 0
27.13, 3.286, 73, 1 1 1
32.85, 2.727, 50, 2 1 1
37.79, 2.381, 27, 2 2 1
39.31, 2.292, 80, 3 0 1
45.49, 1.994, 26, 3 3 0
52.44, 1.745, 22, 2 1 2

Question: Number 2 is which compound?
Answer: Sn7S2I6

Question: Which formula does entry 4 have?
Answer: Tl2SI2